No. 1
Structure and theoretical powder diffractogram of Sc4Ti3O12 (the PBE geometry in the Materials Project; copper Kα).

Principal peaks in the range 2θ from 10° to 80°, in order of falling intensity:
hkl 0 2 -1, d = 2.853 Å, 31.4°, I 100.0; hkl 2 -1 0, d = 2.794 Å, 32.0°, I 45.4; hkl 1 1 1, d = 2.872 Å, 31.1°, I 41.1; hkl -3 1 2, d = 1.725 Å, 53.1°, I 34.6; hkl 1 2 -3, d = 1.745 Å, 52.4°, I 18.3; hkl 0 1 3, d = 1.766 Å, 51.8°, I 17.9

Structural model:
Cell: 5.929 6.056 6.080 Å, 98.98 99.49 98.93°
Positions (direct):
Sc: 0.000 0.000 0.000
Sc: 0.091 0.245 0.550
Sc: 0.392 0.772 0.734
Sc: 0.555 0.065 0.257
Ti: 0.312 0.528 0.183
Ti: 0.700 0.381 0.856
Ti: 0.841 0.710 0.475
O: 0.021 0.356 0.971
O: 0.104 0.569 0.431
O: 0.114 0.960 0.688
O: 0.275 0.219 0.279
O: 0.277 0.793 0.054
O: 0.386 0.434 0.778
O: 0.517 0.789 0.441
O: 0.623 0.073 0.926
O: 0.638 0.491 0.186
O: 0.745 0.281 0.557
O: 0.787 0.696 0.788
O: 0.879 0.946 0.295

No. 2
Structure and theoretical powder diffractogram of ScTiO3 (the PBE geometry in the Materials Project; copper Kα).

Principal peaks in the range 2θ from 10° to 80°, in order of falling intensity:
hkl 1 1 2, d = 2.665 Å, 33.6°, I 100.0; hkl 0 0 4, d = 1.884 Å, 48.3°, I 37.8; hkl 1 3 2, d = 1.504 Å, 61.6°, I 28.4; hkl 2 0 0, d = 2.760 Å, 32.4°, I 20.1; hkl 0 2 0, d = 2.578 Å, 34.8°, I 17.9; hkl 3 1 2, d = 1.574 Å, 58.6°, I 13.0

Structural model:
Cell: 5.520 5.156 7.539 Å, 90.00 90.00 90.00°
Positions (direct):
Sc: 0.069 0.020 0.000
Sc: 0.431 0.520 0.500
Sc: 0.569 0.480 0.000
Sc: 0.931 0.980 0.500
Ti: 0.004 0.499 0.743
Ti: 0.496 0.999 0.243
Ti: 0.504 0.001 0.743
Ti: 0.996 0.501 0.243
O: 0.070 0.356 0.491
O: 0.177 0.828 0.305
O: 0.198 0.816 0.669
O: 0.302 0.316 0.169
O: 0.323 0.328 0.805
O: 0.430 0.856 0.991
O: 0.570 0.144 0.491
O: 0.677 0.672 0.305
O: 0.698 0.684 0.669
O: 0.802 0.184 0.169
O: 0.823 0.172 0.805
O: 0.930 0.644 0.991

No. 3
Structure and theoretical powder diffractogram of TmScO3 (the PBE geometry in the Materials Project; copper Kα).

Principal peaks in the range 2θ from 10° to 80°, in order of falling intensity:
hkl 1 2 1, d = 2.793 Å, 32.1°, I 100.0; hkl 1 0 1, d = 3.927 Å, 22.6°, I 35.8; hkl 1 2 3, d = 1.578 Å, 58.5°, I 27.8; hkl 0 2 0, d = 3.972 Å, 22.4°, I 24.2; hkl 0 0 2, d = 2.705 Å, 33.1°, I 22.3; hkl 1 1 1, d = 3.520 Å, 25.3°, I 21.3

Structural model:
Cell: 5.709 7.944 5.410 Å, 90.00 90.00 90.00°
Positions (direct):
Tm: 0.063 0.250 0.018
Tm: 0.437 0.750 0.518
Tm: 0.563 0.250 0.482
Tm: 0.937 0.750 0.982
Sc: 0.000 0.000 0.500
Sc: 0.000 0.500 0.500
Sc: 0.500 0.000 0.000
Sc: 0.500 0.500 0.000
O: 0.063 0.750 0.364
O: 0.189 0.570 0.814
O: 0.189 0.930 0.814
O: 0.311 0.070 0.314
O: 0.311 0.430 0.314
O: 0.437 0.250 0.864
O: 0.563 0.750 0.136
O: 0.689 0.570 0.686
O: 0.689 0.930 0.686
O: 0.811 0.070 0.186
O: 0.811 0.430 0.186
O: 0.937 0.250 0.636

No. 4
Structure and theoretical powder diffractogram of TmScO3 (the PBE geometry in the Materials Project; copper Kα).

Principal peaks in the range 2θ from 10° to 80°, in order of falling intensity:
hkl 1 1 0, d = 2.830 Å, 31.6°, I 100.0; hkl 2 1 1, d = 1.634 Å, 56.3°, I 39.4; hkl 1 0 0, d = 4.002 Å, 22.2°, I 33.2; hkl 2 0 0, d = 2.001 Å, 45.3°, I 32.0; hkl 1 1 1, d = 2.310 Å, 39.0°, I 29.3; hkl 2 2 0, d = 1.415 Å, 66.0°, I 19.2

Structural model:
Cell: 4.002 4.002 4.002 Å, 90.00 90.00 90.00°
Positions (direct):
Tm: 0.000 0.000 0.000
Sc: 0.500 0.500 0.500
O: 0.000 0.500 0.500
O: 0.500 0.000 0.500
O: 0.500 0.500 0.000

No. 5
Structure and theoretical powder diffractogram of YScO3 (the PBE geometry in the Materials Project; copper Kα).

Principal peaks in the range 2θ from 10° to 80°, in order of falling intensity:
hkl 1 0 2, d = 2.782 Å, 32.2°, I 100.0; hkl 0 0 4, d = 3.110 Å, 28.7°, I 96.0; hkl 1 0 4, d = 2.199 Å, 41.0°, I 56.2; hkl 1 1 0, d = 1.795 Å, 50.9°, I 54.8; hkl 1 1 4, d = 1.555 Å, 59.4°, I 49.4; hkl 1 0 1, d = 3.017 Å, 29.6°, I 47.9

Structural model:
Cell: 3.591 3.591 12.444 Å, 90.00 90.00 120.00°
Positions (direct):
Y: 0.000 0.000 0.000
Y: 0.000 0.000 0.500
Sc: 0.333 0.667 0.250
Sc: 0.667 0.333 0.750
O: 0.000 0.000 0.250
O: 0.000 0.000 0.750
O: 0.333 0.667 0.083
O: 0.333 0.667 0.417
O: 0.667 0.333 0.583
O: 0.667 0.333 0.917